Record 1
For Sr2Li5Tl4, a structure optimized by DFT (GGA-PBE) gives the simulated powder diffraction line list in this record (CuKα).
Peak positions follow from Bragg's law for the DFT cell and can differ from measured ones.

Main lines, sorted by position (5 to 70 degrees two-theta):
2theta	d [Å]	intensity
17.29	5.130	25
19.75	4.494	100
28.56	3.125	45
29.97	2.982	84
33.19	2.699	79
34.97	2.566	53
38.92	2.314	25
40.15	2.246	22
46.39	1.957	35
50.00	1.824	21
51.47	1.775	19
53.60	1.710	21

Structural model:
Cell: 10.3744 9.5161 6.0504 Å, 80.23 64.69 35.08°
Fractional positions:
Sr1 0.1496 0.1496 0.8504
Sr2 0.8504 0.8504 0.1496
Li1 0.0000 0.0000 0.5000
Li2 0.2500 0.2500 0.2500
Li3 0.5000 0.5000 0.0000
Li4 0.5000 0.5000 0.5000
Li5 0.7500 0.7500 0.7500
Tl1 0.2124 0.5300 0.4700
Tl2 0.4700 0.7876 0.2124
Tl3 0.5300 0.2124 0.7876
Tl4 0.7876 0.4700 0.5300


Record 2
For SrLi12Tl6, a structure optimized by DFT (GGA-PBE) gives the simulated powder diffraction line list in this record (CuKα).
Peak positions follow from Bragg's law for the DFT cell and can differ from measured ones.

Main lines, sorted by position (5 to 70 degrees two-theta):
2theta	d [Å]	intensity
14.63	6.054	19
19.52	4.547	39
24.12	3.689	65
24.48	3.636	100
28.64	3.117	31
29.51	3.027	60
37.09	2.424	35
38.47	2.340	35
39.64	2.274	44
44.10	2.053	25
48.09	1.892	20
61.74	1.502	31

Structural model:
Cell: 7.7583 7.7583 7.7583 Å, 102.59 102.59 102.59°
Fractional positions:
Sr1 0.0000 0.0000 0.0000
Li1 0.1084 0.5000 0.8916
Li2 0.1084 0.8916 0.5000
Li3 0.1192 0.4062 0.4062
Li4 0.4062 0.1192 0.4062
Li5 0.4062 0.4062 0.1192
Li6 0.5000 0.1084 0.8916
Li7 0.5000 0.8916 0.1084
Li8 0.5938 0.5938 0.8808
Li9 0.5938 0.8808 0.5938
Li10 0.8808 0.5938 0.5938
Li11 0.8916 0.1084 0.5000
Li12 0.8916 0.5000 0.1084
Tl1 0.2713 0.2713 0.6968
Tl2 0.2713 0.6968 0.2713
Tl3 0.3031 0.7287 0.7287
Tl4 0.6968 0.2713 0.2713
Tl5 0.7287 0.3032 0.7287
Tl6 0.7287 0.7287 0.3032


Record 3
For SrLi6Tl12, a structure optimized by DFT (GGA-PBE) gives the simulated powder diffraction line list in this record (CuKα).
Peak positions follow from Bragg's law for the DFT cell and can differ from measured ones.

Main lines, sorted by position (5 to 70 degrees two-theta):
2theta	d [Å]	intensity
25.32	3.517	35
28.37	3.146	85
31.15	2.872	74
33.71	2.659	100
36.12	2.487	28
38.39	2.345	14
40.56	2.224	24
50.23	1.816	13
53.73	1.706	62
57.07	1.614	50
66.46	1.407	25
69.43	1.354	14

Structural model:
Cell: 8.6149 8.6149 8.6149 Å, 109.47 109.47 109.47°
Fractional positions:
Sr1 0.0000 0.0000 0.0000
Li1 0.1391 0.5000 0.6391
Li2 0.3609 0.8609 0.5000
Li3 0.5000 0.3609 0.8609
Li4 0.5000 0.6391 0.1391
Li5 0.6391 0.1391 0.5000
Li6 0.8609 0.5000 0.3609
Tl1 0.1003 0.2850 0.8153
Tl2 0.1847 0.4698 0.2850
Tl3 0.1847 0.8997 0.7150
Tl4 0.2850 0.1847 0.4698
Tl5 0.2850 0.8153 0.1003
Tl6 0.4698 0.2850 0.1847
Tl7 0.5302 0.7150 0.8153
Tl8 0.7150 0.1847 0.8997
Tl9 0.7150 0.8153 0.5302
Tl10 0.8153 0.1003 0.2850
Tl11 0.8153 0.5302 0.7150
Tl12 0.8997 0.7150 0.1847


Record 4
For Sr3Li3Zn, a structure optimized by DFT (GGA-PBE) gives the simulated powder diffraction line list in this record (CuKα).
Peak positions follow from Bragg's law for the DFT cell and can differ from measured ones.

Main lines, sorted by position (5 to 70 degrees two-theta):
2theta	d [Å]	intensity
8.16	10.832	25
16.37	5.416	14
21.74	4.089	68
28.16	3.169	100
28.75	3.106	57
31.65	2.827	16
34.15	2.626	21
36.22	2.480	22
40.51	2.227	16
41.70	2.166	15
46.43	1.956	18
46.88	1.938	29

Structural model:
Cell: 11.3337 11.3337 11.3337 Å, 157.34 154.72 34.21°
Fractional positions:
Sr1 0.0000 0.0000 0.0000
Sr2 0.3729 0.3729 0.0000
Sr3 0.6984 0.1984 0.5000
Li1 0.1332 0.6332 0.5000
Li2 0.5566 0.5566 0.0000
Li3 0.8216 0.8216 0.0000
Zn1 0.2580 0.7580 0.5000


Record 5
For Sr6Li15Zn8, a structure optimized by DFT (GGA-PBE) gives the simulated powder diffraction line list in this record (CuKα).
Peak positions follow from Bragg's law for the DFT cell and can differ from measured ones.

Main lines, sorted by position (5 to 70 degrees two-theta):
2theta	d [Å]	intensity
10.89	8.121	11
20.95	4.241	21
21.89	4.061	49
27.64	3.227	43
28.38	3.145	13
33.09	2.707	21
36.12	2.487	100
42.64	2.121	18
46.08	1.970	11
52.01	1.758	14
53.31	1.718	20
64.96	1.436	26

Structural model:
Cell: 9.9463 9.9463 9.9463 Å, 60.00 60.00 60.00°
Fractional positions:
Sr1 0.2276 0.2276 0.7724
Sr2 0.2276 0.7724 0.2276
Sr3 0.2276 0.7724 0.7724
Sr4 0.7724 0.2276 0.2276
Sr5 0.7724 0.2276 0.7724
Sr6 0.7724 0.7724 0.2276
Li1 0.0000 0.0000 0.5000
Li2 0.0000 0.5000 0.0000
Li3 0.0000 0.5000 0.5000
Li4 0.1781 0.1781 0.1781
Li5 0.1781 0.1781 0.4656
Li6 0.1781 0.4656 0.1781
Li7 0.4656 0.1781 0.1781
Li8 0.5000 0.0000 0.0000
Li9 0.5000 0.0000 0.5000
Li10 0.5000 0.5000 0.0000
Li11 0.5000 0.5000 0.5000
Li12 0.5344 0.8219 0.8219
Li13 0.8219 0.5344 0.8219
Li14 0.8219 0.8219 0.5344
Li15 0.8219 0.8219 0.8219
Zn1 0.1062 0.6313 0.6313
Zn2 0.3687 0.3687 0.3687
Zn3 0.3687 0.3687 0.8938
Zn4 0.3687 0.8938 0.3687
Zn5 0.6313 0.1062 0.6313
Zn6 0.6313 0.6313 0.1062
Zn7 0.6313 0.6313 0.6313
Zn8 0.8938 0.3687 0.3687


Record 6
For SrLi12Zn4, a structure optimized by DFT (GGA-PBE) gives the simulated powder diffraction line list in this record (CuKα).
Peak positions follow from Bragg's law for the DFT cell and can differ from measured ones.

Main lines, sorted by position (5 to 70 degrees two-theta):
2theta	d [Å]	intensity
13.83	6.405	25
19.60	4.529	34
24.07	3.698	16
27.86	3.202	100
31.23	2.864	12
34.30	2.615	11
37.14	2.421	14
39.81	2.264	20
44.75	2.025	19
49.29	1.849	47
57.56	1.601	12
65.14	1.432	18

Structural model:
Cell: 7.8440 7.8440 7.8440 Å, 109.47 109.47 109.47°
Fractional positions:
Sr1 0.0000 0.0000 0.0000
Li1 0.1676 0.3518 0.5194
Li2 0.1676 0.6482 0.8157
Li3 0.1843 0.8324 0.3518
Li4 0.3518 0.1843 0.8324
Li5 0.3518 0.5194 0.1676
Li6 0.4806 0.8324 0.6482
Li7 0.5194 0.1676 0.3518
Li8 0.6482 0.4806 0.8324
Li9 0.6482 0.8157 0.1676
Li10 0.8157 0.1676 0.6482
Li11 0.8324 0.3518 0.1843
Li12 0.8324 0.6482 0.4806
Zn1 0.0000 0.0000 0.5000
Zn2 0.0000 0.5000 0.0000
Zn3 0.5000 0.0000 0.0000
Zn4 0.5000 0.5000 0.5000


Record 7
For SrLi3Zn2, a structure optimized by DFT (GGA-PBE) gives the simulated powder diffraction line list in this record (CuKα).
Peak positions follow from Bragg's law for the DFT cell and can differ from measured ones.

Main lines, sorted by position (5 to 70 degrees two-theta):
2theta	d [Å]	intensity
19.30	4.599	29
20.44	4.345	28
21.87	4.065	41
26.29	3.390	33
27.15	3.285	19
33.53	2.673	100
35.79	2.509	69
36.67	2.451	25
39.18	2.299	24
40.98	2.202	22
54.11	1.695	41
56.61	1.626	23

Structural model:
Cell: 10.0346 10.0346 4.5985 Å, 90.00 90.00 120.00°
Fractional positions:
Sr1 0.0000 0.0000 0.0000
Sr2 0.3333 0.6667 0.5000
Sr3 0.6667 0.3333 0.5000
Li1 0.0000 0.2953 0.5000
Li2 0.0000 0.5000 0.0000
Li3 0.0000 0.7047 0.5000
Li4 0.2953 0.0000 0.5000
Li5 0.2953 0.2953 0.5000
Li6 0.5000 0.0000 0.0000
Li7 0.5000 0.5000 0.0000
Li8 0.7047 0.0000 0.5000
Li9 0.7047 0.7047 0.5000
Zn1 0.1845 0.3691 0.0000
Zn2 0.1845 0.8155 0.0000
Zn3 0.3691 0.1845 0.0000
Zn4 0.6309 0.8155 0.0000
Zn5 0.8155 0.1845 0.0000
Zn6 0.8155 0.6309 0.0000


Record 8
For SrLi3Zn, a structure optimized by DFT (GGA-PBE) gives the simulated powder diffraction line list in this record (CuKα).
Peak positions follow from Bragg's law for the DFT cell and can differ from measured ones.

Main lines, sorted by position (5 to 70 degrees two-theta):
2theta	d [Å]	intensity
14.38	6.158	12
21.08	4.215	63
25.05	3.555	100
32.96	2.718	33
34.27	2.616	49
41.84	2.159	23
42.92	2.107	30
44.12	2.053	21
50.34	1.813	29
51.40	1.778	17
56.15	1.638	9
63.24	1.470	16

Structural model:
Cell: 7.1109 7.1109 5.7802 Å, 90.00 90.00 120.00°
Fractional positions:
Sr1 0.3333 0.6667 0.2500
Sr2 0.6667 0.3333 0.7500
Li1 0.1805 0.3611 0.7500
Li2 0.1805 0.8195 0.7500
Li3 0.3611 0.1805 0.2500
Li4 0.6389 0.8195 0.7500
Li5 0.8195 0.1805 0.2500
Li6 0.8195 0.6389 0.2500
Zn1 0.0000 0.0000 0.0000
Zn2 0.0000 0.0000 0.5000


Record 9
For Sr3Li5Zn, a structure optimized by DFT (GGA-PBE) gives the simulated powder diffraction line list in this record (CuKα).
Peak positions follow from Bragg's law for the DFT cell and can differ from measured ones.

Main lines, sorted by position (5 to 70 degrees two-theta):
2theta	d [Å]	intensity
18.03	4.921	100
21.85	4.067	67
25.29	3.522	59
28.47	3.135	85
31.23	2.864	82
33.66	2.663	24
36.52	2.461	23
38.44	2.342	28
42.66	2.119	28
44.94	2.017	25
50.24	1.816	33
60.28	1.535	24

Structural model:
Cell: 8.1341 8.1341 4.9212 Å, 90.00 90.00 120.00°
Fractional positions:
Sr1 0.0000 0.4004 0.0000
Sr2 0.4004 0.0000 0.0000
Sr3 0.5996 0.5996 0.0000
Li1 0.0000 0.7846 0.5000
Li2 0.2154 0.2154 0.5000
Li3 0.3333 0.6667 0.5000
Li4 0.6667 0.3333 0.5000
Li5 0.7846 0.0000 0.5000
Zn1 0.0000 0.0000 0.0000


Record 10
For Sr2Li9Zn6, a structure optimized by DFT (GGA-PBE) gives the simulated powder diffraction line list in this record (CuKα).
Peak positions follow from Bragg's law for the DFT cell and can differ from measured ones.

Main lines, sorted by position (5 to 70 degrees two-theta):
2theta	d [Å]	intensity
6.53	13.537	16
19.18	4.628	11
19.67	4.512	69
22.33	3.982	8
31.47	2.843	72
37.38	2.405	100
39.96	2.256	15
51.73	1.767	34
56.02	1.641	13
59.97	1.543	24
65.68	1.422	10
69.30	1.356	12

Structural model:
Cell: 5.6863 5.6863 13.5367 Å, 90.00 90.00 120.00°
Fractional positions:
Sr1 0.0000 0.0000 0.1702
Sr2 0.0000 0.0000 0.8298
Li1 0.0000 0.5000 0.0000
Li2 0.0000 0.5000 0.3364
Li3 0.0000 0.5000 0.6636
Li4 0.5000 0.0000 0.0000
Li5 0.5000 0.0000 0.3364
Li6 0.5000 0.0000 0.6636
Li7 0.5000 0.5000 0.0000
Li8 0.5000 0.5000 0.3364
Li9 0.5000 0.5000 0.6636
Zn1 0.3333 0.6667 0.1687
Zn2 0.3333 0.6667 0.5000
Zn3 0.3333 0.6667 0.8313
Zn4 0.6667 0.3333 0.1687
Zn5 0.6667 0.3333 0.5000
Zn6 0.6667 0.3333 0.8313


Record 11
For Sr3Li2Zn2, a structure optimized by DFT (GGA-PBE) gives the simulated powder diffraction line list in this record (CuKα).
Peak positions follow from Bragg's law for the DFT cell and can differ from measured ones.

Main lines, sorted by position (5 to 70 degrees two-theta):
2theta	d [Å]	intensity
8.47	10.442	22
18.66	4.755	18
22.24	3.998	37
23.83	3.734	14
28.53	3.128	100
29.41	3.037	44
35.25	2.546	20
36.81	2.442	23
40.79	2.212	18
43.16	2.096	19
47.80	1.903	22
56.10	1.639	13

Structural model:
Cell: 10.9492 10.9492 10.9492 Å, 156.69 154.23 35.02°
Fractional positions:
Sr1 0.0000 0.0000 0.0000
Sr2 0.3173 0.8173 0.5000
Sr3 0.6827 0.1827 0.5000
Li1 0.1291 0.6291 0.5000
Li2 0.8709 0.3709 0.5000
Zn1 0.4379 0.4379 0.0000
Zn2 0.5621 0.5621 0.0000


Record 12
For Sr2Li2Zn3, a structure optimized by DFT (GGA-PBE) gives the simulated powder diffraction line list in this record (CuKα).
Peak positions follow from Bragg's law for the DFT cell and can differ from measured ones.

Main lines, sorted by position (5 to 70 degrees two-theta):
2theta	d [Å]	intensity
20.38	4.358	38
22.71	3.916	61
25.87	3.444	56
31.31	2.857	100
31.46	2.844	48
35.18	2.551	31
35.95	2.498	36
37.71	2.386	44
37.81	2.379	22
43.95	2.060	36
49.90	1.828	25
60.51	1.530	22

Structural model:
Cell: 6.1759 6.1759 7.1613 Å, 108.48 108.48 45.45°
Fractional positions:
Sr1 0.1766 0.1766 0.2245
Sr2 0.8234 0.8234 0.7755
Li1 0.0918 0.0918 0.6911
Li2 0.9082 0.9082 0.3089
Zn1 0.4491 0.4491 0.1320
Zn2 0.5000 0.5000 0.5000
Zn3 0.5509 0.5509 0.8680